[1]
The following is a calculated powder XRD pattern of Sr2Mg. It was derived from the PBE geometry in the Materials Project, using Cu Kα (weighted mean of Kα1 and Kα2).
No peak broadening, texture or thermal motion is included.

Main lines, in order of rising 2θ (10° ≤ 2θ ≤ 90°):
2θ (°), Rel. int., hkl
23.82, 508, 1 1 -1
26.53, 487, 2 0 -3
26.63, 326, 4 0 -1
27.68, 581, 2 0 2
27.85, 358, 4 0 -2
28.06, 959, 1 1 -2
30.79, 1000, 3 1 0
43.14, 328, 5 1 -3
52.61, 436, 5 1 2
53.26, 297, 2 2 2

Structure:
```
data_Sr2Mg
_cell_length_a 13.404
_cell_length_b 4.071
_cell_length_c 10.181
_cell_angle_alpha 90.00
_cell_angle_beta 111.98
_cell_angle_gamma 90.00
_space_group_name_H-M_alt 'C 1 2/m 1'
_space_group_IT_number 12
_space_group_name_Hall '-C 2y'
loop_
_atom_site_label
_atom_site_type_symbol
_atom_site_fract_x
_atom_site_fract_y
_atom_site_fract_z
Sr1 Sr 0.012 0.000 0.196
Sr2 Sr 0.166 0.500 0.614
Mg1 Mg 0.196 0.500 0.067
```

***

[2]
The following is a calculated powder XRD pattern of FeHN2Cl5. It was derived from the PBE geometry in the Materials Project, using Cu Kα (weighted mean of Kα1 and Kα2).
No peak broadening, texture or thermal motion is included.

Main lines, in order of rising 2θ (10° ≤ 2θ ≤ 90°):
2θ (°), Rel. int., hkl
11.36, 205, 2 0 0
15.28, 417, 0 1 1
15.55, 256, 2 0 1
15.83, 1000, 2 1 0
21.26, 737, 0 0 2
25.21, 343, 4 0 1
26.61, 571, 2 1 2
27.39, 209, 3 0 2
31.38, 373, 4 0 2
47.94, 265, 8 0 1

Structure:
```
data_FeHN2Cl5
_cell_length_a 15.583
_cell_length_b 8.054
_cell_length_c 8.360
_cell_angle_alpha 90.00
_cell_angle_beta 90.00
_cell_angle_gamma 90.00
_space_group_name_H-M_alt 'P n m a'
_space_group_IT_number 62
_space_group_name_Hall '-P 2ac 2n'
loop_
_atom_site_label
_atom_site_type_symbol
_atom_site_fract_x
_atom_site_fract_y
_atom_site_fract_z
Fe1 Fe 0.092 0.250 0.240
H1 H 0.057 0.250 0.407
N1 N 0.146 0.074 0.778
Cl1 Cl 0.025 0.750 0.882
Cl2 Cl 0.091 0.504 0.325
Cl3 Cl 0.130 0.250 0.729
Cl4 Cl 0.223 0.250 0.167
```

***

[3]
The following is a calculated powder XRD pattern of PmInAu2. It was derived from the PBE geometry in the Materials Project, using Cu Kα (weighted mean of Kα1 and Kα2).
No peak broadening, texture or thermal motion is included.

Main lines, in order of rising 2θ (10° ≤ 2θ ≤ 90°):
2θ (°), Rel. int., hkl
24.98, 47, 2 0 0
35.62, 1000, 2 2 0
44.00, 16, 2 2 2
51.26, 178, 4 0 0
57.85, 22, 4 2 0
63.98, 366, 4 2 2
75.43, 114, 4 4 0
80.91, 12, 6 0 0
86.31, 167, 6 2 0

Structure:
```
data_PmInAu2
_cell_length_a 7.129
_cell_length_b 7.129
_cell_length_c 7.129
_cell_angle_alpha 90.00
_cell_angle_beta 90.00
_cell_angle_gamma 90.00
_space_group_name_H-M_alt 'F m -3 m'
_space_group_IT_number 225
_space_group_name_Hall '-F 4 2 3'
loop_
_atom_site_label
_atom_site_type_symbol
_atom_site_fract_x
_atom_site_fract_y
_atom_site_fract_z
Pm1 Pm 0.000 0.000 0.000
In1 In 0.000 0.000 0.500
Au1 Au 0.250 0.250 0.250
```

***

[4]
The following is a calculated powder XRD pattern of Pr2Ru2O7. It was derived from the PBE geometry in the Materials Project, using Cu Kα (weighted mean of Kα1 and Kα2).
No peak broadening, texture or thermal motion is included.

Main lines, in order of rising 2θ (10° ≤ 2θ ≤ 90°):
2θ (°), Rel. int., hkl
14.58, 16, 1 1 1
29.40, 1000, 2 2 2
34.08, 324, 4 0 0
37.25, 41, 3 3 1
48.97, 468, 4 4 0
58.15, 429, 6 2 2
61.01, 102, 4 4 4
71.76, 67, 8 0 0
79.39, 172, 6 6 2
81.88, 141, 8 4 0

Structure:
a b c (Å): 10.522 10.522 10.522
angles (deg): 90.00 90.00 90.00
Space group Fd-3m (No. 227, origin choice 2)
Inequivalent atoms, fractional coordinates:
Pr 0.000 0.000 0.000
Ru 0.000 0.000 0.500
O 0.079 0.375 0.875
O 0.125 0.125 0.125